Structure and calculated powder diffraction line list of LiAcTc2O7 (a GGA-PBE-relaxed structure; Cu Kα).
Intensities are scaled so that the largest is 100.

Main lines, sorted by position (2θ from 15° to 90°):
2theta, d/Å, I/Imax, (hkl)
26.80, 3.326, 100, 1 0 3
32.21, 2.779, 42, 1 1 0
33.03, 2.712, 59, 1 0 5
33.64, 2.664, 21, 1 1 2
38.43, 2.342, 15, 0 0 8
46.20, 1.965, 27, 2 0 0
50.99, 1.791, 22, 1 1 8
54.22, 1.692, 29, 2 1 3
57.96, 1.591, 25, 2 1 5
61.61, 1.505, 15, 2 0 8

```
data_LiAcTc2O7
_chemical_formula_sum 'Li2 Ac2 Tc4 O14'
_space_group_name_H-M_alt 'I -4 m 2'
_space_group_IT_number 119
_space_group_name_Hall 'I -4 -2'
_cell_length_a 3.9300
_cell_length_b 3.9300
_cell_length_c 18.7394
_cell_angle_alpha 90.00
_cell_angle_beta 90.00
_cell_angle_gamma 90.00
loop_
_atom_site_label
_atom_site_fract_x
_atom_site_fract_y
_atom_site_fract_z
Li1 0.0000 0.0000 0.0000
Ac1 0.0000 0.5000 0.7500
Tc1 0.0000 0.5000 0.1334
O1 0.0000 0.0000 0.1438
O2 0.0000 0.0000 0.3446
O3 0.0000 0.5000 0.0384
O4 0.0000 0.5000 0.2500
```